Record 1
Structure and computed powder XRD pattern of Y2CoB6 (the GGA-PBE geometry in OQMD; Cu Kα, 1.54184 Å).
Neutral-atom scattering factors, no anomalous dispersion.

Main lines, by angle (10° ≤ 2θ ≤ 90°):
Position (°2θ), d [Å], I_rel
24.84, 3.584, 82
30.50, 2.931, 72
31.21, 2.866, 25
32.76, 2.734, 30
33.40, 2.683, 24
39.72, 2.269, 100
40.30, 2.238, 35
41.54, 2.174, 37
42.07, 2.148, 35
50.96, 1.792, 25

Crystal structure
```
data_Y2CoB6
_chemical_formula_sum 'Y8 Co4 B24'
_space_group_name_H-M_alt 'P b a m'
_space_group_IT_number 55
_cell_length_a 9.1073
_cell_length_b 11.4639
_cell_length_c 3.5843
_cell_angle_alpha 90.00
_cell_angle_beta 90.00
_cell_angle_gamma 90.00
loop_
_space_group_symop_operation_xyz
'x,y,z'
'-x,-y,-z'
'-x,-y,z'
'x,y,-z'
'x+1/2,-y+1/2,-z'
'-x+1/2,y+1/2,z'
'-x+1/2,y+1/2,-z'
'x+1/2,-y+1/2,z'
loop_
_atom_site_label
_atom_site_fract_x
_atom_site_fract_y
_atom_site_fract_z
_atom_site_occupancy
Y1 0.0570 0.1294 0.0000 1
Y2 0.1754 0.4147 0.0000 1
Co1 0.1388 0.6789 0.0000 1
B1 0.0131 0.2890 0.5000 1
B2 0.0535 0.5671 0.5000 1
B3 0.1092 0.9704 0.5000 1
B4 0.1337 0.8154 0.5000 1
B5 0.2095 0.2354 0.5000 1
B6 0.2459 0.5823 0.5000 1
```


Record 2
Structure and computed powder XRD pattern of Y3Co11B4 (the GGA-PBE geometry in OQMD; Cu Kα, 1.54184 Å).
Neutral-atom scattering factors, no anomalous dispersion.

Main lines, by angle (10° ≤ 2θ ≤ 90°):
Position (°2θ), d [Å], I_rel
34.49, 2.600, 73
35.69, 2.516, 16
36.96, 2.432, 20
41.45, 2.179, 100
42.57, 2.124, 18
45.65, 1.987, 96
63.35, 1.468, 24
71.14, 1.325, 22
75.60, 1.258, 26
82.34, 1.171, 15

Crystal structure
```
data_Y3Co11B4
_chemical_formula_sum 'Y3 Co11 B4'
_space_group_name_H-M_alt 'P 6/m m m'
_space_group_IT_number 191
_space_group_name_Hall '-P 6 2'
_cell_length_a 5.0311
_cell_length_b 5.0311
_cell_length_c 9.7218
_cell_angle_alpha 90.00
_cell_angle_beta 90.00
_cell_angle_gamma 120.00
loop_
_atom_site_label
_atom_site_fract_x
_atom_site_fract_y
_atom_site_fract_z
_atom_site_occupancy
Y1 0.0000 0.0000 0.0000 1
Y2 0.0000 0.0000 0.3416 1
Co1 0.0000 0.5000 0.2025 1
Co2 0.0000 0.5000 0.5000 1
Co3 0.3333 0.6667 0.0000 1
B1 0.3333 0.6667 0.3498 1
```


Record 3
Structure and computed powder XRD pattern of ZrCo2B (the GGA-PBE geometry in OQMD; Cu Kα, 1.54184 Å).
Neutral-atom scattering factors, no anomalous dispersion.

Main lines, by angle (10° ≤ 2θ ≤ 90°):
Position (°2θ), d [Å], I_rel
27.66, 3.224, 20
36.90, 2.436, 58
40.18, 2.244, 25
40.45, 2.230, 40
43.86, 2.064, 100
45.23, 2.005, 20
57.13, 1.612, 18
58.34, 1.582, 13
72.32, 1.307, 13
75.94, 1.253, 15

Crystal structure
```
data_ZrCo2B
_chemical_formula_sum 'Zr2 Co4 B2'
_space_group_name_H-M_alt 'P m c 21'
_space_group_IT_number 26
_cell_length_a 3.2245
_cell_length_b 6.7324
_cell_length_c 4.4597
_cell_angle_alpha 90.00
_cell_angle_beta 90.00
_cell_angle_gamma 90.00
loop_
_space_group_symop_operation_xyz
'x,y,z'
'-x,-y,z+1/2'
'-x,y,z'
'x,-y,z+1/2'
loop_
_atom_site_label
_atom_site_fract_x
_atom_site_fract_y
_atom_site_fract_z
_atom_site_occupancy
Zr1 0.0000 0.1825 0.0000 1
Co1 0.0000 0.4236 0.5348 1
Co2 0.5000 0.1399 0.4767 1
B1 0.5000 0.4587 0.2775 1
```


Record 4
Structure and computed powder XRD pattern of Zr3CoB2 (the GGA-PBE geometry in OQMD; Cu Kα, 1.54184 Å).
Neutral-atom scattering factors, no anomalous dispersion.

Main lines, by angle (10° ≤ 2θ ≤ 90°):
Position (°2θ), d [Å], I_rel
28.40, 3.143, 16
30.66, 2.916, 44
35.90, 2.502, 100
38.74, 2.324, 43
49.49, 1.842, 13
53.64, 1.709, 11
53.80, 1.704, 35
61.95, 1.498, 11
66.38, 1.408, 15
67.87, 1.381, 10

Crystal structure
```
data_Zr3CoB2
_chemical_formula_sum 'Zr6 Co2 B4'
_space_group_name_H-M_alt 'P 63/m m c'
_space_group_IT_number 194
_space_group_name_Hall '-P 6c 2c'
_cell_length_a 3.4079
_cell_length_b 3.4079
_cell_length_c 18.8582
_cell_angle_alpha 90.00
_cell_angle_beta 90.00
_cell_angle_gamma 120.00
loop_
_atom_site_label
_atom_site_fract_x
_atom_site_fract_y
_atom_site_fract_z
_atom_site_occupancy
Zr1 0.0000 0.0000 0.0000 1
Zr2 0.3333 0.6667 0.1509 1
Co1 0.0000 0.0000 0.2500 1
B1 0.3333 0.6667 0.5772 1
```